Calculated powder diffractogram of Li2V4O5F8 for λ = 1.5418 Å (Cu Kα), from a cell relaxed with PBE+U.

Peak list (12 most intense, 15° ≤ 2θ ≤ 90°, in order of rising 2θ)
| d/Å | 2θ/deg | Rel. int. | hkl |
| --- | --- | --- | --- |
| 5.195 | 17.07 | 100 | 0 0 2 |
| 3.590 | 24.80 | 84 | 1 1 0 |
| 3.464 | 25.72 | 62 | 0 0 3 |
| 3.448 | 25.84 | 69 | 1 1 -1 |
| 3.044 | 29.34 | 58 | 4 0 -1 |
| 2.885 | 31.00 | 55 | 1 1 2 |
| 2.748 | 32.58 | 28 | 3 1 0 |
| 2.078 | 43.55 | 71 | 0 0 5 |
| 2.043 | 44.33 | 54 | 6 0 -1 |
| 1.880 | 48.42 | 56 | 0 2 0 |
| 1.588 | 58.09 | 25 | 7 1 -1 |
| 1.394 | 67.14 | 30 | 0 2 5 |

Cell and atoms:
```
data_Li2V4O5F8
_cell_length_a 12.2636
_cell_length_b 3.7598
_cell_length_c 10.5493
_cell_angle_alpha 90.00
_cell_angle_beta 99.95
_cell_angle_gamma 90.00
_symmetry_space_group_name_H-M 'C 1 2/m 1'
_symmetry_Int_Tables_number 12
_symmetry_space_group_name_Hall '-C 2y'
loop_
_atom_site_label
_atom_site_fract_x
_atom_site_fract_y
_atom_site_fract_z
_atom_site_occupancy
Li1 0.0805 0.0000 0.1439 1
V1 0.1474 0.0000 0.4977 1
V2 0.2219 0.0000 0.8863 1
O1 0.0000 0.0000 0.5000 1
O2 0.1821 0.5000 0.5068 1
O3 0.2413 0.5000 0.9218 1
F1 0.0741 0.0000 0.9011 1
F2 0.1217 0.0000 0.3176 1
F3 0.1252 0.5000 0.1230 1
F4 0.1797 0.0000 0.7034 1
```